Theoretical X-ray powder pattern
Compound: Sc2Fe3Mo2
Radiation: Cu Kα (λ = 1.5418 Å)
Structure: a DFT-relaxed cell (GGA-PBE, OQMD)
Kinematic intensities with the Lorentz-polarization factor, no thermal factor.

Top 10 peaks for 15° ≤ 2θ ≤ 90°, in order of rising 2θ:
- 2θ 25.81, intensity 27.8
- 2θ 26.17, intensity 8.6
- 2θ 30.00, intensity 14.7
- 2θ 42.71, intensity 100.0
- 2θ 43.16, intensity 93.8
- 2θ 50.78, intensity 8.4
- 2θ 62.34, intensity 29.2
- 2θ 78.20, intensity 15.2
- 2θ 78.52, intensity 29.1
- 2θ 79.46, intensity 12.8

Cell and atoms:
Lattice parameters (Å, degrees): 7.2368 7.2368 7.2368 34.02 34.02 34.02
Fractional coordinates of all 7 atoms:
Sc1 0.0000 0.0000 0.0000
Sc2 0.4879 0.4879 0.4879
Fe1 0.3645 0.3645 0.3645
Fe2 0.6168 0.6168 0.6168
Fe3 0.8702 0.8702 0.8702
Mo1 0.2414 0.2414 0.2414
Mo2 0.7466 0.7466 0.7466